# Dy2Hg2Pt
Simulated powder diffraction line list, Cu Ka. Input: a crystal structure in Alexandria, relaxed with PBE.
Kinematic intensities with the Lorentz-polarization factor, no thermal factor.

Largest 10 diffraction maxima, in order of falling intensity, 10 to 90 degrees two-theta:
d [Å], I (rel.)
2.651, 100
2.465, 83
2.390, 58
1.450, 32
1.458, 29
2.839, 25
1.429, 24
1.782, 18
1.732, 16
3.270, 15

Crystal structure
```
data_Dy2Hg2Pt
_chemical_formula_sum 'Dy4 Hg4 Pt2'
_cell_length_a 3.565
_cell_length_b 19.818
_cell_length_c 3.464
_cell_angle_alpha 90.00
_cell_angle_beta 90.00
_cell_angle_gamma 90.00
_space_group_name_H-M_alt 'C m m m'
_space_group_IT_number 65
_space_group_name_Hall '-C 2 2'
loop_
_atom_site_label
_atom_site_type_symbol
_atom_site_fract_x
_atom_site_fract_y
_atom_site_fract_z
Dy1 Dy 0.000 0.086 0.000
Hg1 Hg 0.000 0.309 0.500
Pt1 Pt 0.000 0.500 0.500
```

***

# CaPrTmMg
Simulated powder diffraction line list, Cu Ka. Input: a crystal structure in Alexandria, relaxed with PBE.
Kinematic intensities with the Lorentz-polarization factor, no thermal factor.

Largest 10 diffraction maxima, in order of falling intensity, 10 to 90 degrees two-theta:
d [Å], I (rel.)
2.917, 100
2.580, 37
3.415, 34
1.547, 29
2.424, 28
1.768, 20
1.458, 17
2.494, 14
1.824, 13
2.017, 11

Crystal structure
```
data_CaPrTmMg
_chemical_formula_sum 'Ca1 Pr1 Tm1 Mg1'
_cell_length_a 3.649
_cell_length_b 3.649
_cell_length_c 9.708
_cell_angle_alpha 90.00
_cell_angle_beta 90.00
_cell_angle_gamma 90.00
_space_group_name_H-M_alt 'P 4 m m'
_space_group_IT_number 99
loop_
_space_group_symop_operation_xyz
'x,y,z'
'-y,x,z'
'-x,-y,z'
'y,-x,z'
'-x,y,z'
'y,x,z'
'x,-y,z'
'-y,-x,z'
loop_
_atom_site_label
_atom_site_type_symbol
_atom_site_fract_x
_atom_site_fract_y
_atom_site_fract_z
Ca1 Ca 0.000 0.000 0.000
Pr1 Pr 0.500 0.500 0.700
Tm1 Tm 0.000 0.000 0.450
Mg1 Mg 0.500 0.500 0.238
```